No. 1
Starting from a cell relaxed with PBE, the powder XRD pattern of Gd2US5 was computed for a wavelength of 1.5418 Å.

```
data_Gd2US5
_cell_length_a 11.7284
_cell_length_b 8.0094
_cell_length_c 7.4079
_cell_angle_alpha 90.00
_cell_angle_beta 90.00
_cell_angle_gamma 90.00
_space_group_name_H-M_alt 'P n m a'
_space_group_IT_number 62
loop_
_space_group_symop_operation_xyz
'x,y,z'
'-x,-y,-z'
'-x+1/2,-y,z+1/2'
'x+1/2,y,-z+1/2'
'x+1/2,-y+1/2,-z+1/2'
'-x+1/2,y+1/2,z+1/2'
'-x,y+1/2,-z'
'x,-y+1/2,z'
loop_
_atom_site_label
_atom_site_type_symbol
_atom_site_fract_x
_atom_site_fract_y
_atom_site_fract_z
_atom_site_occupancy
Gd1 Gd 0.1775 0.9998 0.0233 1
U1 U 0.0104 0.2500 0.5747 1
S1 S 0.0004 0.2500 0.9610 1
S2 S 0.0974 0.5450 0.6645 1
S3 S 0.1869 0.2500 0.3262 1
S4 S 0.2171 0.7500 0.3011 1
```

Top 10 peaks for 2θ from 5° to 70°, sorted by position:
hkl 0 0 2, d = 3.704 Å, 2θ 24.0, rel. 45; hkl 3 0 1, d = 3.458 Å, 2θ 25.8, rel. 100; hkl 1 2 1, d = 3.374 Å, 2θ 26.4, rel. 82; hkl 2 2 0, d = 3.307 Å, 2θ 27.0, rel. 66; hkl 2 2 2, d = 2.467 Å, 2θ 36.4, rel. 66; hkl 4 2 0, d = 2.366 Å, 2θ 38.0, rel. 30; hkl 2 1 3, d = 2.189 Å, 2θ 41.2, rel. 21; hkl 0 4 0, d = 2.002 Å, 2θ 45.3, rel. 26; hkl 6 0 0, d = 1.953 Å, 2θ 46.5, rel. 56; hkl 3 4 1, d = 1.733 Å, 2θ 52.8, rel. 40

---

No. 2
Starting from a cell relaxed with PBE, the powder XRD pattern of Gd2ZrS5 was computed for a wavelength of 1.5418 Å.

```
data_Gd2ZrS5
_cell_length_a 11.6151
_cell_length_b 7.8368
_cell_length_c 7.3052
_cell_angle_alpha 90.00
_cell_angle_beta 90.00
_cell_angle_gamma 90.00
_space_group_name_H-M_alt 'P n m a'
_space_group_IT_number 62
loop_
_space_group_symop_operation_xyz
'x,y,z'
'-x,-y,-z'
'-x+1/2,-y,z+1/2'
'x+1/2,y,-z+1/2'
'x+1/2,-y+1/2,-z+1/2'
'-x+1/2,y+1/2,z+1/2'
'-x,y+1/2,-z'
'x,-y+1/2,z'
loop_
_atom_site_label
_atom_site_type_symbol
_atom_site_fract_x
_atom_site_fract_y
_atom_site_fract_z
_atom_site_occupancy
Gd1 Gd 0.1786 0.0020 0.0227 1
Zr1 Zr 0.0073 0.7500 0.5792 1
S1 S 0.0034 0.7500 0.9491 1
S2 S 0.0926 0.0378 0.6604 1
S3 S 0.1824 0.7500 0.3337 1
S4 S 0.2083 0.2500 0.3097 1
```

Top 10 peaks for 2θ from 5° to 70°, sorted by position:
hkl 0 0 2, d = 3.653 Å, 2θ 24.4, rel. 54; hkl 3 0 1, d = 3.421 Å, 2θ 26.0, rel. 100; hkl 1 2 1, d = 3.310 Å, 2θ 26.9, rel. 51; hkl 2 2 0, d = 3.248 Å, 2θ 27.5, rel. 52; hkl 0 2 2, d = 2.672 Å, 2θ 33.5, rel. 29; hkl 3 2 1, d = 2.577 Å, 2θ 34.8, rel. 68; hkl 2 2 2, d = 2.427 Å, 2θ 37.0, rel. 73; hkl 0 4 0, d = 1.959 Å, 2θ 46.3, rel. 30; hkl 5 2 1, d = 1.927 Å, 2θ 47.2, rel. 47; hkl 3 4 1, d = 1.701 Å, 2θ 53.9, rel. 33

---

No. 3
Starting from a cell relaxed with PBE, the powder XRD pattern of Gd4Sb3 was computed for a wavelength of 1.5418 Å.

```
data_Gd4Sb3
_cell_length_a 9.3447
_cell_length_b 9.3447
_cell_length_c 9.3447
_cell_angle_alpha 90.00
_cell_angle_beta 90.00
_cell_angle_gamma 90.00
_space_group_name_H-M_alt 'I -4 3 d'
_space_group_IT_number 220
_space_group_name_Hall 'I -4bd 2c 3'
loop_
_atom_site_label
_atom_site_type_symbol
_atom_site_fract_x
_atom_site_fract_y
_atom_site_fract_z
_atom_site_occupancy
Gd1 Gd 0.0736 0.0736 0.0736 1
Sb1 Sb 0.0000 0.2500 0.3750 1
```

Top 10 peaks for 2θ from 5° to 70°, sorted by position:
hkl 3 1 0, d = 2.955 Å, 2θ 30.2, rel. 100; hkl 3 2 1, d = 2.497 Å, 2θ 36.0, rel. 71; hkl 4 2 0, d = 2.090 Å, 2θ 43.3, rel. 10; hkl 3 3 2, d = 1.992 Å, 2θ 45.5, rel. 8; hkl 4 2 2, d = 1.907 Å, 2θ 47.7, rel. 19; hkl 4 3 1, d = 1.833 Å, 2θ 49.8, rel. 22; hkl 6 1 1, d = 1.516 Å, 2θ 61.1, rel. 26; hkl 6 2 0, d = 1.478 Å, 2θ 62.9, rel. 12; hkl 5 4 1, d = 1.442 Å, 2θ 64.6, rel. 15; hkl 4 4 4, d = 1.349 Å, 2θ 69.7, rel. 6

---

No. 4
Starting from a cell relaxed with PBE, the powder XRD pattern of GdScSi was computed for a wavelength of 1.5418 Å.

```
data_GdScSi
_cell_length_a 4.2128
_cell_length_b 4.2128
_cell_length_c 15.5735
_cell_angle_alpha 90.00
_cell_angle_beta 90.00
_cell_angle_gamma 90.00
_space_group_name_H-M_alt 'I 4/m m m'
_space_group_IT_number 139
_space_group_name_Hall '-I 4 2'
loop_
_atom_site_label
_atom_site_type_symbol
_atom_site_fract_x
_atom_site_fract_y
_atom_site_fract_z
_atom_site_occupancy
Gd1 Gd 0.0000 0.0000 0.1779 1
Sc1 Sc 0.0000 0.5000 0.0000 1
Si1 Si 0.0000 0.0000 0.3750 1
```

Top 10 peaks for 2θ from 5° to 70°, sorted by position:
hkl 1 0 3, d = 3.271 Å, 2θ 27.3, rel. 100; hkl 1 1 0, d = 2.979 Å, 2θ 30.0, rel. 44; hkl 1 1 2, d = 2.782 Å, 2θ 32.2, rel. 76; hkl 0 0 6, d = 2.596 Å, 2θ 34.6, rel. 27; hkl 1 0 5, d = 2.505 Å, 2θ 35.9, rel. 55; hkl 1 1 4, d = 2.366 Å, 2θ 38.0, rel. 29; hkl 2 0 0, d = 2.106 Å, 2θ 42.9, rel. 45; hkl 2 1 3, d = 1.771 Å, 2θ 51.6, rel. 35; hkl 2 0 6, d = 1.636 Å, 2θ 56.2, rel. 26; hkl 2 1 5, d = 1.612 Å, 2θ 57.1, rel. 29

---

No. 5
Starting from a cell relaxed with PBE, the powder XRD pattern of Gd3Se4 was computed for a wavelength of 1.5418 Å.

```
data_Gd3Se4
_cell_length_a 8.7622
_cell_length_b 8.7622
_cell_length_c 8.7622
_cell_angle_alpha 90.00
_cell_angle_beta 90.00
_cell_angle_gamma 90.00
_space_group_name_H-M_alt 'I -4 3 d'
_space_group_IT_number 220
_space_group_name_Hall 'I -4bd 2c 3'
loop_
_atom_site_label
_atom_site_type_symbol
_atom_site_fract_x
_atom_site_fract_y
_atom_site_fract_z
_atom_site_occupancy
Gd1 Gd 0.0000 0.2500 0.8750 1
Se1 Se 0.0740 0.4260 0.5740 1
```

Top 10 peaks for 2θ from 5° to 70°, sorted by position:
hkl 2 1 1, d = 3.577 Å, 2θ 24.9, rel. 32; hkl 3 1 0, d = 2.771 Å, 2θ 32.3, rel. 100; hkl 3 2 1, d = 2.342 Å, 2θ 38.4, rel. 65; hkl 4 2 0, d = 1.959 Å, 2θ 46.3, rel. 26; hkl 3 3 2, d = 1.868 Å, 2θ 48.7, rel. 17; hkl 4 2 2, d = 1.789 Å, 2θ 51.1, rel. 11; hkl 4 3 1, d = 1.718 Å, 2θ 53.3, rel. 19; hkl 6 1 1, d = 1.421 Å, 2θ 65.7, rel. 31; hkl 6 2 0, d = 1.385 Å, 2θ 67.6, rel. 9; hkl 5 4 1, d = 1.352 Å, 2θ 69.5, rel. 14

---

No. 6
Starting from a cell relaxed with PBE, the powder XRD pattern of Gd2Se3 was computed for a wavelength of 1.5418 Å.

```
data_Gd2Se3
_cell_length_a 11.2575
_cell_length_b 4.0911
_cell_length_c 11.0875
_cell_angle_alpha 90.00
_cell_angle_beta 90.00
_cell_angle_gamma 90.00
_space_group_name_H-M_alt 'P n m a'
_space_group_IT_number 62
loop_
_space_group_symop_operation_xyz
'x,y,z'
'-x,-y,-z'
'-x+1/2,-y,z+1/2'
'x+1/2,y,-z+1/2'
'x+1/2,-y+1/2,-z+1/2'
'-x+1/2,y+1/2,z+1/2'
'-x,y+1/2,-z'
'x,-y+1/2,z'
loop_
_atom_site_label
_atom_site_type_symbol
_atom_site_fract_x
_atom_site_fract_y
_atom_site_fract_z
_atom_site_occupancy
Gd1 Gd 0.0103 0.2500 0.1869 1
Gd2 Gd 0.1923 0.2500 0.5044 1
Se1 Se 0.0449 0.7500 0.3738 1
Se2 Se 0.1201 0.2500 0.9446 1
Se3 Se 0.2285 0.7500 0.6981 1
```

Top 10 peaks for 2θ from 5° to 70°, sorted by position:
hkl 2 0 2, d = 3.950 Å, 2θ 22.5, rel. 81; hkl 1 1 2, d = 3.160 Å, 2θ 28.2, rel. 78; hkl 2 1 2, d = 2.842 Å, 2θ 31.5, rel. 77; hkl 0 1 3, d = 2.742 Å, 2θ 32.7, rel. 72; hkl 3 1 1, d = 2.683 Å, 2θ 33.4, rel. 60; hkl 1 1 3, d = 2.665 Å, 2θ 33.6, rel. 100; hkl 3 1 2, d = 2.475 Å, 2θ 36.3, rel. 79; hkl 4 1 1, d = 2.270 Å, 2θ 39.7, rel. 62; hkl 1 1 4, d = 2.249 Å, 2θ 40.1, rel. 56; hkl 0 2 0, d = 2.046 Å, 2θ 44.3, rel. 81